Record 1
# Hf3TiSb6
Calculated X-ray diffraction stick pattern, Cu Kα, 1.54184 Å. Input: a DFT-relaxed cell (PBE, Alexandria).
Kinematic intensities with the Lorentz-polarization factor, no thermal factor.

Structure:
Cell: 10.3427 3.7944 12.5908 Å, 90.00 101.14 90.00°
Fractional positions:
Hf  0.1504  0.2500  0.0723
Hf  0.3310  0.2500  0.8431
Hf  0.3369  0.7500  0.4711
Hf  0.6631  0.2500  0.5289
Hf  0.6690  0.7500  0.1569
Hf  0.8496  0.7500  0.9277
Ti  0.0215  0.2500  0.6953
Ti  0.9785  0.7500  0.3047
Sb  0.1151  0.2500  0.4556
Sb  0.1218  0.7500  0.8905
Sb  0.2234  0.7500  0.6695
Sb  0.2283  0.7500  0.2403
Sb  0.4471  0.2500  0.0855
Sb  0.4596  0.2500  0.6494
Sb  0.5404  0.7500  0.3506
Sb  0.5529  0.7500  0.9145
Sb  0.7717  0.2500  0.7597
Sb  0.7766  0.2500  0.3305
Sb  0.8782  0.2500  0.1095
Sb  0.8849  0.7500  0.5444

Peak list (12 most intense, 2θ from 10° to 80°, low angle first)
2theta	intensity
26.56	49
29.45	17
32.10	42
34.37	63
35.56	72
35.70	21
36.39	18
37.36	17
37.54	34
39.11	100
47.95	35
61.13	30

---

Record 2
# TmHfSb2
Calculated X-ray diffraction stick pattern, Cu Kα, 1.54184 Å. Input: a DFT-relaxed cell (PBE, Alexandria).
Kinematic intensities with the Lorentz-polarization factor, no thermal factor.

Structure:
Cell: 7.3576 7.3576 7.3576 Å, 33.08 33.08 33.08°
Fractional positions:
Tm  0.0000  0.0000  0.0000
Hf  0.5000  0.5000  0.5000
Sb  0.2457  0.2457  0.2457
Sb  0.7543  0.7543  0.7543

Peak list (12 most intense, 2θ from 10° to 80°, low angle first)
2theta	intensity
26.00	4
30.01	100
42.72	38
43.19	37
52.69	7
53.48	20
62.37	12
70.41	17
71.08	17
77.91	6
78.88	13
79.20	6

---

Record 3
# Hf10VSb5
Calculated X-ray diffraction stick pattern, Cu Kα, 1.54184 Å. Input: a DFT-relaxed cell (PBE, Alexandria).
Kinematic intensities with the Lorentz-polarization factor, no thermal factor.

Structure:
Cell: 8.3058 8.3058 8.3058 Å, 96.48 96.48 140.73°
Fractional positions:
Hf  0.0000  0.5000  0.5000
Hf  0.0480  0.1876  0.7080
Hf  0.1876  0.4796  0.1396
Hf  0.3400  0.0480  0.8604
Hf  0.4796  0.3400  0.2920
Hf  0.5000  0.0000  0.5000
Hf  0.5204  0.8124  0.8604
Hf  0.6600  0.5204  0.7080
Hf  0.8124  0.9520  0.2920
Hf  0.9520  0.6600  0.1396
V  0.5000  0.5000  0.0000
Sb  0.0000  0.0000  0.0000
Sb  0.0864  0.9136  0.5000
Sb  0.4136  0.5864  0.5000
Sb  0.5864  0.0864  0.1728
Sb  0.9136  0.4136  0.8272

Peak list (12 most intense, 2θ from 10° to 80°, low angle first)
2theta	intensity
32.07	22
33.32	54
34.39	12
36.05	34
36.32	45
37.18	100
39.67	36
58.34	12
58.85	11
59.04	17
60.56	24
69.98	14